1.
Computed powder diffractogram of MnBPdAuI for Cu Ka, from a PBE-relaxed structure.
Intensities are scaled so that the largest is 1000.

Top 10 peaks for 2θ = 10–90°, sorted by position:
- 10.8 deg, rel. 362
- 21.7 deg, rel. 149
- 28.1 deg, rel. 195
- 30.2 deg, rel. 1000
- 35.8 deg, rel. 671
- 43.7 deg, rel. 641
- 49.6 deg, rel. 280
- 49.8 deg, rel. 138
- 68.3 deg, rel. 112
- 75.9 deg, rel. 152

Crystal structure
a = 6.371 Å, b = 3.663 Å, c = 8.188 Å
α = 90.00°, β = 90.04°, γ = 90.00°
Space group Cm (No. 8)
One atom of each set of equivalent atoms:
Mn: 0.000 0.000 0.000 x2
B: 0.000 0.000 0.338 x2
Pd: 0.166 0.500 0.427 x2
Au: 0.333 0.000 0.206 x2
I: 0.167 0.500 0.776 x2

2.
Computed powder diffractogram of Ag5PdAu2 for Cu Ka, from a PBE-relaxed structure.
Intensities are scaled so that the largest is 1000.

Top 10 peaks for 2θ = 10–90°, sorted by position:
- 35.3 deg, rel. 111
- 35.8 deg, rel. 255
- 37.5 deg, rel. 424
- 40.2 deg, rel. 542
- 40.5 deg, rel. 1000
- 52.8 deg, rel. 163
- 63.7 deg, rel. 173
- 69.7 deg, rel. 194
- 76.3 deg, rel. 204
- 78.8 deg, rel. 146

Crystal structure
a = 9.597 Å, b = 5.777 Å, c = 5.079 Å
α = 90.00°, β = 90.08°, γ = 90.00°
Space group Cm (No. 8)
One atom of each set of equivalent atoms:
Ag: 0.000 0.000 0.000 x2
Ag: 0.000 0.249 0.504 x4
Ag: 0.249 0.247 0.174 x4
Pd: 0.251 0.000 0.673 x2
Au: 0.249 0.500 0.674 x2
Au: 0.498 0.000 0.002 x2